Record 1
Computed powder diffraction line list of LiCd4Hg6 for CuKα, from a crystal structure in Alexandria, relaxed with PBE.
No peak broadening, texture or thermal motion is included.

Main lines, sorted by position (10° ≤ 2θ ≤ 90°):
- hkl 0 2 1, 25.09°, I = 30
- hkl 0 2 2, 33.58°, I = 26
- hkl 2 2 -2, 33.74°, I = 100
- hkl 2 2 1, 36.34°, I = 71
- hkl 0 0 3, 38.47°, I = 34
- hkl 0 4 3, 59.85°, I = 22

Cell lengths 9.201, 8.228, 7.687 Å; angles 90.00, 114.03, 90.00 degrees
Space group Cm (No. 8)
Symmetry-distinct sites (fractional):
Li 0.000 0.000 0.000
Cd 0.086 0.313 0.278
Cd 0.138 0.500 0.658
Cd 0.192 0.000 0.712
Hg 0.245 0.264 0.003
Hg 0.296 0.000 0.335
Hg 0.404 0.266 0.676
Hg 0.415 0.500 0.341

---

Record 2
Computed powder diffraction line list of Cs2Rb4CdHg2 for CuKα, from a crystal structure in Alexandria, relaxed with PBE.
No peak broadening, texture or thermal motion is included.

Main lines, sorted by position (10° ≤ 2θ ≤ 90°):
- hkl 1 0 0, 13.45°, I = 67
- hkl 1 0 -1, 13.90°, I = 65
- hkl 1 -1 2, 23.94°, I = 60
- hkl 0 0 3, 25.66°, I = 100
- hkl 0 2 -3, 30.40°, I = 56
- hkl 1 -3 0, 32.19°, I = 59

Cell lengths 6.962, 8.566, 10.894 Å; angles 97.78, 103.15, 101.43 degrees
Space group P-1 (No. 2)
Symmetry-distinct sites (fractional):
Cs 0.001 0.322 0.185
Rb 0.359 0.226 0.840
Rb 0.450 0.764 0.547
Cd 0.000 0.000 0.500
Hg 0.113 0.369 0.555

---

Record 3
Computed powder diffraction line list of PmPrAl2Pt for CuKα, from a crystal structure in Alexandria, relaxed with PBE.
No peak broadening, texture or thermal motion is included.

Main lines, sorted by position (10° ≤ 2θ ≤ 90°):
- hkl 0 0 2, 14.20°, I = 34
- hkl 0 1 1, 20.40°, I = 36
- hkl 1 0 3, 30.14°, I = 33
- hkl 1 1 2, 32.02°, I = 100
- hkl 0 2 0, 38.76°, I = 24
- hkl 1 1 4, 40.87°, I = 21

Cell lengths 4.229, 4.646, 12.472 Å; angles 90.00, 90.00, 90.00 degrees
Space group Imm2 (No. 44)
Symmetry-distinct sites (fractional):
Pm 0.000 0.000 0.000
Pr 0.000 0.500 0.235
Al 0.000 0.000 0.512
Al 0.000 0.500 0.848
Pt 0.000 0.500 0.649

---

Record 4
Computed powder diffraction line list of CaNd7Sm12 for CuKα, from a crystal structure in Alexandria, relaxed with PBE.
No peak broadening, texture or thermal motion is included.

Main lines, sorted by position (10° ≤ 2θ ≤ 90°):
- hkl 2 0 0, 15.29°, I = 32
- hkl 2 2 2, 26.65°, I = 69
- hkl 4 0 0, 30.87°, I = 100
- hkl 4 4 0, 44.22°, I = 74
- hkl 6 2 2, 52.38°, I = 32
- hkl 8 4 0, 73.04°, I = 33

Cell lengths 11.587, 11.587, 11.587 Å; angles 90.00, 90.00, 90.00 degrees
Space group Im-3m (No. 229)
Symmetry-distinct sites (fractional):
Ca 0.000 0.000 0.000
Nd 0.000 0.000 0.500
Nd 0.250 0.250 0.250
Sm 0.000 0.254 0.254

---

Record 5
Computed powder diffraction line list of SmPbI for CuKα, from a crystal structure in Alexandria, relaxed with PBE.
No peak broadening, texture or thermal motion is included.

Main lines, sorted by position (10° ≤ 2θ ≤ 90°):
- hkl 1 1 -1, 26.62°, I = 100
- hkl 1 0 2, 29.97°, I = 47
- hkl 2 1 -1, 32.63°, I = 40
- hkl 3 0 -2, 36.10°, I = 30
- hkl 2 1 1, 38.53°, I = 51
- hkl 1 1 -3, 40.44°, I = 40

Cell lengths 7.804, 3.896, 8.160 Å; angles 90.00, 110.59, 90.00 degrees
Space group P2/m (No. 10)
Symmetry-distinct sites (fractional):
Sm 0.000 0.000 0.000
Sm 0.000 0.500 0.500
Pb 0.296 0.000 0.401
I 0.251 0.500 0.891

---

Record 6
Computed powder diffraction line list of Pr2Y2Hg for CuKα, from a crystal structure in Alexandria, relaxed with PBE.
No peak broadening, texture or thermal motion is included.

Main lines, sorted by position (10° ≤ 2θ ≤ 90°):
- hkl 1 1 5, 30.47°, I = 25
- hkl 2 2 2, 31.41°, I = 100
- hkl 2 0 4, 32.15°, I = 36
- hkl 0 4 0, 34.49°, I = 26
- hkl 0 2 6, 36.50°, I = 33
- hkl 2 4 4, 47.88°, I = 23

Cell lengths 7.448, 10.402, 16.770 Å; angles 90.00, 90.00, 90.00 degrees
Space group Fmmm (No. 69)
Symmetry-distinct sites (fractional):
Pr 0.000 0.000 0.203
Pr 0.208 0.000 0.000
Y 0.000 0.202 0.396
Hg 0.250 0.250 0.250